Structure and simulated powder diffractogram of Pr6Ni2PI3 (the PBE geometry in Alexandria; CuKα).
Intensities are scaled so that the largest is 100.

Atomic structure:
Unit cell a=7.3301 b=7.3301 c=8.2821 alpha=98.48 beta=98.48 gamma=119.93
Element x y z (fractional)
Pr  0.0928  0.4367  0.8124
Pr  0.2181  0.2181  0.1873
Pr  0.4367  0.0928  0.8124
Pr  0.5633  0.9072  0.1876
Pr  0.7819  0.7819  0.8127
Pr  0.9072  0.5633  0.1876
Ni  0.1671  0.8329  0.0000
Ni  0.8329  0.1671  0.0000
P  0.5000  0.5000  0.0000
I  0.0000  0.0000  0.5000
I  0.3371  0.6629  0.5000
I  0.6629  0.3371  0.5000

Most intense lines, 2θ = 15–90°, low angle first:
2θ = 28.6°, I = 100; 2θ = 30.8°, I = 27; 2θ = 39.0°, I = 25; 2θ = 42.7°, I = 39; 2θ = 52.2°, I = 18; 2θ = 55.7°, I = 19

---

Structure and simulated powder diffractogram of NiPd5I12 (the PBE geometry in Alexandria; CuKα).
Intensities are scaled so that the largest is 100.

Atomic structure:
Unit cell a=7.6327 b=7.6327 c=13.5425 alpha=101.36 beta=101.36 gamma=98.29
Element x y z (fractional)
Ni  0.0000  0.0000  0.0000
Pd  0.1667  0.8333  0.5000
Pd  0.3306  0.6694  0.0000
Pd  0.5000  0.5000  0.5000
Pd  0.6694  0.3306  0.0000
Pd  0.8333  0.1667  0.5000
I  0.0216  0.0216  0.3737
I  0.0278  0.7111  0.8835
I  0.2889  0.9722  0.1165
I  0.3123  0.6457  0.6267
I  0.3543  0.6877  0.3733
I  0.3652  0.3652  0.8799
I  0.6348  0.6348  0.1201
I  0.6457  0.3123  0.6267
I  0.6877  0.3543  0.3733
I  0.7111  0.0278  0.8835
I  0.9722  0.2889  0.1165
I  0.9784  0.9784  0.6263

Most intense lines, 2θ = 15–90°, low angle first:
2θ = 18.6°, I = 100; 2θ = 19.6°, I = 72; 2θ = 21.8°, I = 66; 2θ = 23.3°, I = 57; 2θ = 34.4°, I = 87; 2θ = 40.7°, I = 82

---

Structure and simulated powder diffractogram of Pr3NiI3 (the PBE geometry in Alexandria; CuKα).
Intensities are scaled so that the largest is 100.

Atomic structure:
Unit cell a=9.3984 b=4.1482 c=12.7305 alpha=90.00 beta=91.25 gamma=90.00
Element x y z (fractional)
Pr  0.0853  0.2500  0.3873
Pr  0.1213  0.2500  0.8447
Pr  0.3143  0.7500  0.6224
Pr  0.6857  0.2500  0.3776
Pr  0.8787  0.7500  0.1553
Pr  0.9147  0.7500  0.6127
Ni  0.1169  0.2500  0.6255
Ni  0.8831  0.7500  0.3745
I  0.1415  0.2500  0.1166
I  0.3838  0.7500  0.3687
I  0.3836  0.7500  0.8753
I  0.6164  0.2500  0.1247
I  0.6162  0.2500  0.6313
I  0.8585  0.7500  0.8834

Most intense lines, 2θ = 15–90°, low angle first:
2θ = 28.0°, I = 56; 2θ = 28.7°, I = 100; 2θ = 40.3°, I = 32; 2θ = 40.9°, I = 34; 2θ = 43.6°, I = 18; 2θ = 52.7°, I = 18

---

Structure and simulated powder diffractogram of NiPtI2 (the PBE geometry in Alexandria; CuKα).
Intensities are scaled so that the largest is 100.

Atomic structure:
Unit cell a=6.0035 b=6.0035 c=11.8207 alpha=90.00 beta=90.00 gamma=90.00
Element x y z (fractional)
Ni  0.0000  0.0000  0.0000
Ni  0.0000  0.5000  0.2500
Ni  0.5000  0.0000  0.7500
Ni  0.5000  0.5000  0.5000
Pt  0.0000  0.0000  0.5000
Pt  0.0000  0.5000  0.7500
Pt  0.5000  0.0000  0.2500
Pt  0.5000  0.5000  0.0000
I  0.2278  0.2500  0.1250
I  0.2500  0.7278  0.3750
I  0.2500  0.7722  0.8750
I  0.2722  0.2500  0.6250
I  0.7278  0.7500  0.6250
I  0.7500  0.2278  0.8750
I  0.7500  0.2722  0.3750
I  0.7722  0.7500  0.1250

Most intense lines, 2θ = 15–90°, low angle first:
2θ = 25.8°, I = 100; 2θ = 42.6°, I = 25; 2θ = 42.9°, I = 50; 2θ = 50.5°, I = 31; 2θ = 51.1°, I = 15; 2θ = 78.2°, I = 16

---

Structure and simulated powder diffractogram of NiPtI5 (the PBE geometry in Alexandria; CuKα).
Intensities are scaled so that the largest is 100.

Atomic structure:
Unit cell a=7.0940 b=7.0940 c=12.7501 alpha=90.33 beta=90.33 gamma=61.94
Element x y z (fractional)
Ni  0.1980  0.8020  0.5000
Ni  0.8020  0.1980  0.0000
Pt  0.1554  0.8445  0.7707
Pt  0.8445  0.1554  0.2707
I  0.1208  0.1682  0.8870
I  0.1373  0.5678  0.6374
I  0.1682  0.1208  0.3870
I  0.4325  0.8618  0.6392
I  0.4758  0.5246  0.9073
I  0.5246  0.4758  0.4073
I  0.5678  0.1373  0.1374
I  0.8321  0.8790  0.8853
I  0.8618  0.4325  0.1392
I  0.8790  0.8321  0.3853

Most intense lines, 2θ = 15–90°, low angle first:
2θ = 15.8°, I = 100; 2θ = 28.2°, I = 45; 2θ = 28.7°, I = 21; 2θ = 28.9°, I = 21; 2θ = 32.8°, I = 16; 2θ = 43.3°, I = 25

---

Structure and simulated powder diffractogram of PuNiI6 (the PBE geometry in Alexandria; CuKα).
Intensities are scaled so that the largest is 100.

Atomic structure:
Unit cell a=7.7359 b=12.6987 c=7.7493 alpha=90.00 beta=114.06 gamma=90.00
Element x y z (fractional)
Pu  0.0000  0.0000  0.0000
Pu  0.5000  0.5000  0.0000
Ni  0.0000  0.5000  0.5000
Ni  0.5000  0.0000  0.5000
I  0.2051  0.3542  0.7113
I  0.2051  0.6458  0.7113
I  0.2230  0.0000  0.7714
I  0.2770  0.5000  0.2286
I  0.2949  0.1458  0.2887
I  0.2949  0.8542  0.2887
I  0.7051  0.1458  0.7113
I  0.7051  0.8542  0.7113
I  0.7230  0.5000  0.7714
I  0.7770  0.0000  0.2286
I  0.7949  0.3542  0.2887
I  0.7949  0.6458  0.2887

Most intense lines, 2θ = 15–90°, low angle first:
2θ = 15.3°, I = 72; 2θ = 25.1°, I = 42; 2θ = 27.5°, I = 70; 2θ = 29.9°, I = 100; 2θ = 38.1°, I = 27; 2θ = 41.1°, I = 76

---

Structure and simulated powder diffractogram of Rb4NiI6 (the PBE geometry in Alexandria; CuKα).
Intensities are scaled so that the largest is 100.

Atomic structure:
Unit cell a=9.9521 b=9.9521 c=10.3664 alpha=90.00 beta=90.00 gamma=90.00
Element x y z (fractional)
Rb  0.1737  0.3263  0.2500
Rb  0.1737  0.3263  0.7500
Rb  0.3263  0.8263  0.2500
Rb  0.3263  0.8263  0.7500
Rb  0.6737  0.1737  0.2500
Rb  0.6737  0.1737  0.7500
Rb  0.8263  0.6737  0.2500
Rb  0.8263  0.6737  0.7500
Ni  0.0000  0.0000  0.0000
Ni  0.5000  0.5000  0.5000
I  0.0000  0.0000  0.2663
I  0.0000  0.0000  0.7337
I  0.0845  0.7197  0.0000
I  0.2197  0.5845  0.5000
I  0.2803  0.0845  0.0000
I  0.4155  0.2197  0.5000
I  0.5000  0.5000  0.2337
I  0.5000  0.5000  0.7663
I  0.5845  0.7803  0.5000
I  0.7197  0.9155  0.0000
I  0.7803  0.4155  0.5000
I  0.9155  0.2803  0.0000

Most intense lines, 2θ = 15–90°, low angle first:
2θ = 26.4°, I = 100; 2θ = 28.4°, I = 55; 2θ = 29.7°, I = 35; 2θ = 30.7°, I = 35; 2θ = 34.6°, I = 30; 2θ = 45.3°, I = 28

---

Structure and simulated powder diffractogram of RbNiI (the PBE geometry in Alexandria; CuKα).
Intensities are scaled so that the largest is 100.

Atomic structure:
Unit cell a=13.8361 b=4.3902 c=6.5934 alpha=90.00 beta=102.66 gamma=90.00
Element x y z (fractional)
Rb  0.1095  0.0000  0.3046
Rb  0.3905  0.5000  0.6954
Rb  0.6095  0.5000  0.3046
Rb  0.8905  0.0000  0.6954
Ni  0.2210  0.0470  0.9284
Ni  0.2790  0.5470  0.0716
Ni  0.7210  0.5470  0.9284
Ni  0.7790  0.0470  0.0716
I  0.1252  0.5034  0.7797
I  0.3748  0.0034  0.2203
I  0.6252  0.0034  0.7797
I  0.8748  0.5034  0.2203

Most intense lines, 2θ = 15–90°, low angle first:
2θ = 16.8°, I = 79; 2θ = 26.2°, I = 82; 2θ = 29.7°, I = 100; 2θ = 33.6°, I = 71; 2θ = 34.0°, I = 52; 2θ = 49.1°, I = 53